# KLaW
Computed X-ray powder pattern, Cu Kα (λ = 1.5418 Å). Input: a structure optimized by DFT (PBE).
Kinematic intensities with the Lorentz-polarization factor, no thermal factor.

Principal peaks in the range 10° ≤ 2θ ≤ 80°, by intensity:
32.83 deg, d = 2.728 Å, intensity 100.0
38.27 deg, d = 2.352 Å, intensity 42.6
42.05 deg, d = 2.149 Å, intensity 29.1
71.02 deg, d = 1.327 Å, intensity 23.0
28.85 deg, d = 3.094 Å, intensity 21.9
58.54 deg, d = 1.577 Å, intensity 17.3
51.80 deg, d = 1.765 Å, intensity 17.1
43.22 deg, d = 2.093 Å, intensity 15.2
63.00 deg, d = 1.475 Å, intensity 14.3
38.80 deg, d = 2.321 Å, intensity 14.3

Structural model:
Lattice parameters (Å, degrees): 9.5284 9.5284 9.5284 161.65 161.65 26.07
Element x y z (fractional)
K1 0.0000 0.0000 0.0000
La1 0.2846 0.2846 0.0000
W1 0.6565 0.6565 0.0000